[1]
Theoretical powder XRD pattern of V2NiIr for Cu Kα (weighted mean of Kα1 and Kα2), from a DFT-relaxed cell (GGA-PBE, Alexandria).

Structure:
```
data_V2NiIr
_cell_length_a 3.745
_cell_length_b 3.745
_cell_length_c 7.387
_cell_angle_alpha 90.00
_cell_angle_beta 90.00
_cell_angle_gamma 90.00
_symmetry_space_group_name_H-M 'I 4/m m m'
_symmetry_Int_Tables_number 139
_symmetry_space_group_name_Hall '-I 4 2'
loop_
_atom_site_label
_atom_site_fract_x
_atom_site_fract_y
_atom_site_fract_z
V1 0.000 0.500 0.250
Ni1 0.000 0.000 0.000
Ir1 0.000 0.000 0.500
```

Most intense lines, 10 to 90 degrees two-theta, by angle:
3.694 Å, intensity 20, hkl 0 0 2
3.340 Å, intensity 40, hkl 1 0 1
2.152 Å, intensity 100, hkl 1 1 2
1.872 Å, intensity 32, hkl 2 0 0
1.315 Å, intensity 19, hkl 2 0 4
1.128 Å, intensity 24, hkl 3 1 2

[2]
Theoretical powder XRD pattern of V4Ni12Ir for Cu Kα (weighted mean of Kα1 and Kα2), from a DFT-relaxed cell (GGA-PBE, Alexandria).

Structure:
```
data_V4Ni12Ir
_cell_length_a 7.480
_cell_length_b 7.480
_cell_length_c 7.480
_cell_angle_alpha 90.00
_cell_angle_beta 90.00
_cell_angle_gamma 90.00
_symmetry_space_group_name_H-M 'I m -3 m'
_symmetry_Int_Tables_number 229
_symmetry_space_group_name_Hall '-I 4 2 3'
loop_
_atom_site_label
_atom_site_fract_x
_atom_site_fract_y
_atom_site_fract_z
V1 0.250 0.250 0.250
Ni1 0.000 0.000 0.311
Ni2 0.000 0.250 0.500
Ir1 0.000 0.000 0.000
```

Most intense lines, 10 to 90 degrees two-theta, by angle:
3.740 Å, intensity 51, hkl 2 0 0
2.365 Å, intensity 51, hkl 3 1 0
2.159 Å, intensity 90, hkl 2 2 2
1.999 Å, intensity 81, hkl 3 2 1
1.870 Å, intensity 100, hkl 4 0 0
1.595 Å, intensity 46, hkl 3 3 2